1.
Simulated powder X-ray diffraction pattern of Na2CaGe6O14 for Cu Kα X-rays, from the PBE geometry in Alexandria.

Crystal structure
a = 14.221 Å, b = 8.336 Å, c = 4.929 Å
α = 90.00°, β = 90.28°, γ = 90.00°
Space group C2 (No. 5)
Inequivalent atoms, fractional coordinates:
Na (0.211, 0.000, 0.497) (multiplicity 4)
Ca (0.000, 0.630, 0.500) (multiplicity 2)
Ge (0.000, 0.209, 0.500) (multiplicity 2)
Ge (0.000, 0.969, 0.000) (multiplicity 2)
Ge (0.123, 0.337, 0.005) (multiplicity 4)
Ge (0.164, 0.713, 0.018) (multiplicity 4)
O (0.044, 0.382, 0.734) (multiplicity 4)
O (0.064, 0.063, 0.738) (multiplicity 4)
O (0.074, 0.829, 0.185) (multiplicity 4)
O (0.108, 0.195, 0.268) (multiplicity 4)
O (0.146, 0.523, 0.186) (multiplicity 4)
O (0.153, 0.707, 0.675) (multiplicity 4)
O (0.232, 0.295, 0.834) (multiplicity 4)

Peak list (6 most intense, 2θ from 5° to 70°, most intense first)
Position (°2θ)  I/Imax
30.78  100.0
38.01  67.2
18.00  61.7
21.57  57.5
28.04  43.1
37.71  43.1

***

2.
Simulated powder X-ray diffraction pattern of NaCa2GeOs for Cu Kα X-rays, from the PBE geometry in Alexandria.

Crystal structure
a = 5.583 Å, b = 5.583 Å, c = 4.803 Å
α = 90.00°, β = 90.00°, γ = 90.00°
Space group P4/mmm (No. 123)
Inequivalent atoms, fractional coordinates:
Na (0.000, 0.000, 0.000) (multiplicity 1)
Ca (0.000, 0.500, 0.500) (multiplicity 2)
Ge (0.500, 0.500, 0.000) (multiplicity 1)
Os (0.500, 0.500, 0.500) (multiplicity 1)

Peak list (6 most intense, 2θ from 5° to 70°, most intense first)
Position (°2θ)  I/Imax
15.87  100.0
32.06  45.3
22.52  31.4
35.97  27.1
50.11  25.2
24.45  23.6

***

3.
Simulated powder X-ray diffraction pattern of Ca2Nb3Ge4 for Cu Kα X-rays, from the PBE geometry in Alexandria.

Crystal structure
a = 7.247 Å, b = 7.233 Å, c = 7.065 Å
α = 90.00°, β = 109.10°, γ = 90.00°
Space group P2_1/c (No. 14)
Inequivalent atoms, fractional coordinates:
Ca (0.181, 0.165, 0.058) (multiplicity 4)
Nb (0.262, 0.679, 0.251) (multiplicity 4)
Nb (0.500, 0.000, 0.500) (multiplicity 2)
Ge (0.087, 0.538, 0.868) (multiplicity 4)
Ge (0.487, 0.132, 0.863) (multiplicity 4)

Peak list (6 most intense, 2θ from 5° to 70°, most intense first)
Position (°2θ)  I/Imax
35.40  100.0
35.79  95.3
40.28  70.4
36.12  40.1
39.75  39.8
17.84  37.4

***

4.
Simulated powder X-ray diffraction pattern of CaNb2Ge2 for Cu Kα X-rays, from the PBE geometry in Alexandria.

Crystal structure
a = 4.066 Å, b = 4.066 Å, c = 12.220 Å
α = 90.00°, β = 90.00°, γ = 90.00°
Space group I4/mmm (No. 139)
Inequivalent atoms, fractional coordinates:
Ca (0.000, 0.000, 0.000) (multiplicity 2)
Nb (0.000, 0.500, 0.250) (multiplicity 4)
Ge (0.000, 0.000, 0.397) (multiplicity 4)

Peak list (6 most intense, 2θ from 5° to 70°, most intense first)
Position (°2θ)  I/Imax
34.48  100.0
43.20  79.8
44.55  57.8
14.50  32.2
64.83  28.8
23.05  22.1

***

5.
Simulated powder X-ray diffraction pattern of CaNdGe2 for Cu Kα X-rays, from the PBE geometry in Alexandria.

Crystal structure
a = 4.029 Å, b = 4.512 Å, c = 11.019 Å
α = 90.00°, β = 90.00°, γ = 90.00°
Space group Amm2 (No. 38)
Inequivalent atoms, fractional coordinates:
Ca (0.000, 0.000, 0.000) (multiplicity 2)
Nd (0.500, 0.000, 0.723) (multiplicity 2)
Ge (0.000, 0.000, 0.283) (multiplicity 2)
Ge (0.500, 0.000, 0.440) (multiplicity 2)

Peak list (6 most intense, 2θ from 5° to 70°, most intense first)
Position (°2θ)  I/Imax
30.84  100.0
38.71  72.3
31.40  31.3
16.09  29.3
39.96  27.8
39.63  25.0

***

6.
Simulated powder X-ray diffraction pattern of Ca2NdZn2Ge2 for Cu Kα X-rays, from the PBE geometry in Alexandria.

Crystal structure
a = 4.2409 Å, b = 4.2409 Å, c = 35.1275 Å
α = 90.00°, β = 90.00°, γ = 120.00°
Space group R-3m (No. 166, hexagonal axes)
Inequivalent atoms, fractional coordinates:
Ca (0.0000, 0.0000, 0.1194) (multiplicity 6)
Nd (0.0000, 0.0000, 0.0000) (multiplicity 3)
Zn (0.0000, 0.0000, 0.3922) (multiplicity 6)
Ge (0.0000, 0.0000, 0.2734) (multiplicity 6)

Peak list (6 most intense, 2θ from 5° to 70°, most intense first)
Position (°2θ)  I/Imax
7.55  100.0
31.76  35.3
42.64  29.7
30.15  27.9
35.36  15.0
58.74  12.8

***

7.
Simulated powder X-ray diffraction pattern of CaNi9Ge2 for Cu Kα X-rays, from the PBE geometry in Alexandria.

Crystal structure
a = 4.8553 Å, b = 4.8553 Å, c = 23.1178 Å
α = 90.00°, β = 90.00°, γ = 120.00°
Space group R-3m (No. 166, hexagonal axes)
Inequivalent atoms, fractional coordinates:
Ca (0.0000, 0.0000, 0.0000) (multiplicity 3)
Ni (0.0000, 0.0000, 0.3339) (multiplicity 6)
Ni (0.0000, 0.0000, 0.5000) (multiplicity 3)
Ni (0.0063, 0.5032, 0.9127) (multiplicity 18)
Ge (0.0000, 0.0000, 0.1376) (multiplicity 6)

Peak list (6 most intense, 2θ from 5° to 70°, most intense first)
Position (°2θ)  I/Imax
44.09  100.0
47.51  53.6
43.21  33.0
37.03  29.5
45.93  25.9
48.42  25.8

***

8.
Simulated powder X-ray diffraction pattern of Ca5Ni17Ge8 for Cu Kα X-rays, from the PBE geometry in Alexandria.

Crystal structure
a = 4.028 Å, b = 25.334 Å, c = 8.986 Å
α = 90.00°, β = 90.00°, γ = 90.00°
Space group Amm2 (No. 38)
Inequivalent atoms, fractional coordinates:
Ca (0.000, 0.000, 0.000) (multiplicity 2)
Ca (0.000, 0.194, 0.767) (multiplicity 4)
Ca (0.500, 0.105, 0.495) (multiplicity 4)
Ni (0.000, 0.049, 0.305) (multiplicity 4)
Ni (0.000, 0.064, 0.730) (multiplicity 4)
Ni (0.000, 0.111, 0.981) (multiplicity 4)
Ni (0.000, 0.201, 0.426) (multiplicity 4)
Ni (0.000, 0.214, 0.084) (multiplicity 4)
Ni (0.500, 0.000, 0.709) (multiplicity 2)
Ni (0.500, 0.084, 0.147) (multiplicity 4)
Ni (0.500, 0.166, 0.996) (multiplicity 4)
Ni (0.500, 0.199, 0.256) (multiplicity 4)
Ge (0.000, 0.000, 0.540) (multiplicity 2)
Ge (0.000, 0.138, 0.236) (multiplicity 4)
Ge (0.500, 0.000, 0.264) (multiplicity 2)
Ge (0.500, 0.085, 0.854) (multiplicity 4)
Ge (0.500, 0.240, 0.505) (multiplicity 4)

Peak list (6 most intense, 2θ from 5° to 70°, most intense first)
Position (°2θ)  I/Imax
46.93  100.0
45.01  86.5
14.39  80.6
41.59  68.5
45.29  62.9
10.45  46.8

***

9.
Simulated powder X-ray diffraction pattern of Ca4Ni4Ge3 for Cu Kα X-rays, from the PBE geometry in Alexandria.

Crystal structure
a = 4.177 Å, b = 10.419 Å, c = 19.895 Å
α = 90.00°, β = 90.00°, γ = 90.00°
Space group Cmcm (No. 63)
Inequivalent atoms, fractional coordinates:
Ca (0.000, 0.000, 0.000) (multiplicity 4)
Ca (0.000, 0.271, 0.250) (multiplicity 4)
Ca (0.000, 0.440, 0.650) (multiplicity 8)
Ni (0.000, 0.152, 0.643) (multiplicity 8)
Ni (0.000, 0.271, 0.534) (multiplicity 8)
Ge (0.000, 0.031, 0.750) (multiplicity 4)
Ge (0.000, 0.286, 0.087) (multiplicity 8)

Peak list (6 most intense, 2θ from 5° to 70°, most intense first)
Position (°2θ)  I/Imax
19.23  100.0
43.33  87.0
47.34  86.3
39.31  74.2
33.87  68.9
38.25  68.5

***

10.
Simulated powder X-ray diffraction pattern of CaNi3Ge for Cu Kα X-rays, from the PBE geometry in Alexandria.

Crystal structure
a = 4.449 Å, b = 4.449 Å, c = 4.449 Å
α = 90.00°, β = 90.00°, γ = 90.00°
Space group Pm-3m (No. 221)
Inequivalent atoms, fractional coordinates:
Ca (0.000, 0.000, 0.000) (multiplicity 1)
Ni (0.000, 0.500, 0.500) (multiplicity 3)
Ge (0.500, 0.500, 0.500) (multiplicity 1)

Peak list (6 most intense, 2θ from 5° to 70°, most intense first)
Position (°2θ)  I/Imax
40.55  100.0
58.69  63.0
19.96  61.3
34.93  55.2
45.59  28.7
28.37  15.0